Record 1
Diffraction record for Rb2CoHgCl6. The X-ray diffraction stick pattern is theoretical, not measured: it uses a cell relaxed with GGA-PBE and λ = 1.5418 Å (Cu Kα).

Crystal structure
```
data_Rb2CoHgCl6
_chemical_formula_sum 'Rb4 Co2 Hg2 Cl12'
_cell_length_a 7.217
_cell_length_b 7.159
_cell_length_c 12.536
_cell_angle_alpha 90.00
_cell_angle_beta 125.04
_cell_angle_gamma 90.00
_symmetry_space_group_name_H-M 'P 1 21/c 1'
_symmetry_Int_Tables_number 14
loop_
_symmetry_equiv_pos_as_xyz
'x,y,z'
'-x,-y,-z'
'-x,y+1/2,-z+1/2'
'x,-y+1/2,z+1/2'
loop_
_atom_site_label
_atom_site_type_symbol
_atom_site_fract_x
_atom_site_fract_y
_atom_site_fract_z
_atom_site_occupancy
Rb1 Rb 0.245 0.028 0.250 1
Co1 Co 0.500 0.000 0.000 1
Hg1 Hg 0.000 0.000 0.500 1
Cl1 Cl 0.209 0.206 0.975 1
Cl2 Cl 0.271 0.730 0.978 1
Cl3 Cl 0.311 0.506 0.265 1
```

Largest 10 diffraction maxima, most intense first, 5° ≤ 2θ ≤ 70°:
- 3.611 Å, 24.66 deg, rel. 100.0, hkl 2 0 -2
- 2.541 Å, 35.32 deg, rel. 44.8, hkl 2 2 -2
- 1.805 Å, 50.56 deg, rel. 35.0, hkl 2 2 -6
- 2.084 Å, 43.41 deg, rel. 32.3, hkl 3 1 -1
- 5.888 Å, 15.05 deg, rel. 24.6, hkl 1 0 0
- 2.566 Å, 34.97 deg, rel. 24.3, hkl 0 0 4
- 3.580 Å, 24.87 deg, rel. 20.1, hkl 0 2 0
- 5.083 Å, 17.45 deg, rel. 17.7, hkl 1 1 -1
- 2.073 Å, 43.67 deg, rel. 17.6, hkl 1 3 1
- 1.364 Å, 68.83 deg, rel. 10.8, hkl 4 2 -8

Record 2
Diffraction record for YHoCo2Cl2. The X-ray diffraction stick pattern is theoretical, not measured: it uses a cell relaxed with GGA-PBE and λ = 1.5418 Å (Cu Kα).

Crystal structure
```
data_YHoCo2Cl2
_chemical_formula_sum 'Y1 Ho1 Co2 Cl2'
_cell_length_a 3.8430
_cell_length_b 3.8430
_cell_length_c 10.6082
_cell_angle_alpha 90.00
_cell_angle_beta 90.00
_cell_angle_gamma 120.00
_symmetry_space_group_name_H-M 'P 3 m 1'
_symmetry_Int_Tables_number 156
loop_
_symmetry_equiv_pos_as_xyz
'x,y,z'
'-y,x-y,z'
'-x+y,-x,z'
'-y,-x,z'
'-x+y,y,z'
'x,x-y,z'
loop_
_atom_site_label
_atom_site_type_symbol
_atom_site_fract_x
_atom_site_fract_y
_atom_site_fract_z
_atom_site_occupancy
Y1 Y 0.0000 0.0000 0.0000 1
Ho1 Ho 0.0000 0.0000 0.6473 1
Co1 Co 0.3333 0.6667 0.8304 1
Co2 Co 0.6667 0.3333 0.8137 1
Cl1 Cl 0.3333 0.6667 0.4853 1
Cl2 Cl 0.6667 0.3333 0.1630 1
```

Largest 10 diffraction maxima, most intense first, 5° ≤ 2θ ≤ 70°:
- 10.608 Å, 8.33 deg, rel. 100.0, hkl 0 0 1
- 2.424 Å, 37.10 deg, rel. 50.2, hkl 1 0 3
- 2.819 Å, 31.74 deg, rel. 30.2, hkl 1 0 2
- 1.922 Å, 47.31 deg, rel. 20.5, hkl 1 1 0
- 3.328 Å, 26.79 deg, rel. 11.7, hkl 1 0 0
- 1.506 Å, 61.60 deg, rel. 10.9, hkl 0 2 3
- 3.176 Å, 28.10 deg, rel. 9.8, hkl 1 0 1
- 1.891 Å, 48.12 deg, rel. 8.8, hkl 1 1 1
- 1.424 Å, 65.54 deg, rel. 6.2, hkl 1 1 5
- 1.588 Å, 58.10 deg, rel. 5.2, hkl 0 2 2

Record 3
Diffraction record for InCoCl6. The X-ray diffraction stick pattern is theoretical, not measured: it uses a cell relaxed with GGA-PBE and λ = 1.5418 Å (Cu Kα).

Crystal structure
```
data_InCoCl6
_chemical_formula_sum 'In2 Co2 Cl12'
_cell_length_a 6.212
_cell_length_b 10.744
_cell_length_c 6.297
_cell_angle_alpha 90.00
_cell_angle_beta 109.19
_cell_angle_gamma 90.00
_symmetry_space_group_name_H-M 'C 1 2 1'
_symmetry_Int_Tables_number 5
loop_
_symmetry_equiv_pos_as_xyz
'x,y,z'
'-x,y,-z'
'x+1/2,y+1/2,z'
'-x+1/2,y+1/2,-z'
loop_
_atom_site_label
_atom_site_type_symbol
_atom_site_fract_x
_atom_site_fract_y
_atom_site_fract_z
_atom_site_occupancy
In1 In 0.000 0.000 0.000 1
Co1 Co 0.000 0.667 0.000 1
Cl1 Cl 0.216 0.816 0.225 1
Cl2 Cl 0.220 0.664 0.778 1
Cl3 Cl 0.227 0.521 0.225 1
```

Largest 10 diffraction maxima, most intense first, 5° ≤ 2θ ≤ 70°:
- 2.548 Å, 35.23 deg, rel. 100.0, hkl 1 3 1
- 5.947 Å, 14.90 deg, rel. 93.8, hkl 0 0 1
- 5.149 Å, 17.22 deg, rel. 35.0, hkl 1 1 0
- 3.058 Å, 29.20 deg, rel. 33.7, hkl 2 0 -1
- 1.811 Å, 50.39 deg, rel. 30.3, hkl 2 0 2
- 1.792 Å, 50.96 deg, rel. 28.3, hkl 0 6 0
- 4.606 Å, 19.27 deg, rel. 24.7, hkl 1 1 -1
- 1.970 Å, 46.08 deg, rel. 20.2, hkl 1 3 2
- 5.372 Å, 16.50 deg, rel. 19.7, hkl 0 2 0
- 1.716 Å, 53.40 deg, rel. 19.3, hkl 3 3 0

Record 4
Diffraction record for K2InCoCl6. The X-ray diffraction stick pattern is theoretical, not measured: it uses a cell relaxed with GGA-PBE and λ = 1.5418 Å (Cu Kα).

Crystal structure
```
data_K2InCoCl6
_chemical_formula_sum 'K8 In4 Co4 Cl24'
_cell_length_a 10.110
_cell_length_b 10.110
_cell_length_c 10.110
_cell_angle_alpha 90.00
_cell_angle_beta 90.00
_cell_angle_gamma 90.00
_symmetry_space_group_name_H-M 'F m -3 m'
_symmetry_Int_Tables_number 225
_symmetry_space_group_name_Hall '-F 4 2 3'
loop_
_atom_site_label
_atom_site_type_symbol
_atom_site_fract_x
_atom_site_fract_y
_atom_site_fract_z
_atom_site_occupancy
K1 K 0.250 0.250 0.250 1
In1 In 0.000 0.000 0.000 1
Co1 Co 0.000 0.000 0.500 1
Cl1 Cl 0.000 0.000 0.260 1
```

Largest 10 diffraction maxima, most intense first, 5° ≤ 2θ ≤ 70°:
- 2.527 Å, 35.52 deg, rel. 100.0, hkl 4 0 0
- 3.574 Å, 24.91 deg, rel. 82.4, hkl 2 2 0
- 5.055 Å, 17.55 deg, rel. 79.0, hkl 2 0 0
- 1.787 Å, 51.11 deg, rel. 62.8, hkl 4 4 0
- 2.261 Å, 39.88 deg, rel. 36.4, hkl 4 2 0
- 2.064 Å, 43.87 deg, rel. 34.8, hkl 4 2 2
- 1.459 Å, 63.78 deg, rel. 20.1, hkl 4 4 4
- 1.685 Å, 54.46 deg, rel. 17.5, hkl 6 0 0
- 1.351 Å, 69.59 deg, rel. 17.0, hkl 6 4 2
- 1.598 Å, 57.67 deg, rel. 15.9, hkl 6 2 0

Record 5
Diffraction record for Tl2InCoCl6. The X-ray diffraction stick pattern is theoretical, not measured: it uses a cell relaxed with GGA-PBE and λ = 1.5418 Å (Cu Kα).

Crystal structure
```
data_Tl2InCoCl6
_chemical_formula_sum 'Tl8 In4 Co4 Cl24'
_cell_length_a 10.119
_cell_length_b 10.119
_cell_length_c 10.119
_cell_angle_alpha 90.00
_cell_angle_beta 90.00
_cell_angle_gamma 90.00
_symmetry_space_group_name_H-M 'F m -3 m'
_symmetry_Int_Tables_number 225
_symmetry_space_group_name_Hall '-F 4 2 3'
loop_
_atom_site_label
_atom_site_type_symbol
_atom_site_fract_x
_atom_site_fract_y
_atom_site_fract_z
_atom_site_occupancy
Tl1 Tl 0.250 0.250 0.250 1
In1 In 0.000 0.000 0.000 1
Co1 Co 0.000 0.000 0.500 1
Cl1 Cl 0.000 0.000 0.261 1
```

Largest 10 diffraction maxima, most intense first, 5° ≤ 2θ ≤ 70°:
- 3.577 Å, 24.89 deg, rel. 100.0, hkl 2 2 0
- 2.530 Å, 35.49 deg, rel. 49.2, hkl 4 0 0
- 2.065 Å, 43.83 deg, rel. 45.6, hkl 4 2 2
- 1.789 Å, 51.06 deg, rel. 33.3, hkl 4 4 0
- 2.921 Å, 30.61 deg, rel. 29.6, hkl 2 2 2
- 1.352 Å, 69.52 deg, rel. 23.8, hkl 6 4 2
- 1.600 Å, 57.61 deg, rel. 21.1, hkl 6 2 0
- 1.525 Å, 60.71 deg, rel. 11.5, hkl 6 2 2
- 1.460 Å, 63.72 deg, rel. 11.1, hkl 4 4 4
- 5.059 Å, 17.53 deg, rel. 8.1, hkl 2 0 0